Record 1
Calculated XRD peak list
Compound: Ca11Ag9Pt4
Radiation: Cu Kα (λ = 1.5418 Å)
Structure: a cell relaxed with PBE
Neutral-atom scattering factors, no anomalous dispersion.

Principal peaks in the range 2θ from 10° to 90°, by angle:
| 2theta | intensity | hkl |
| --- | --- | --- |
| 23.49 | 76.8 | 0 0 1 |
| 24.80 | 32.8 | 0 6 0 |
| 24.94 | 34.7 | 4 0 0 |
| 34.42 | 100.0 | 0 6 1 |
| 34.53 | 99.4 | 4 0 1 |
| 35.47 | 88.3 | 4 6 0 |
| 36.79 | 36.2 | 3 5 1 |
| 42.98 | 37.2 | 4 6 1 |
| 48.05 | 32.6 | 0 0 2 |
| 61.12 | 33.9 | 4 6 2 |

Crystal structure
```
data_Ca11Ag9Pt4
_space_group_name_H-M_alt 'C m m m'
_space_group_IT_number 65
_space_group_name_Hall '-C 2 2'
_cell_length_a 14.277
_cell_length_b 21.539
_cell_length_c 3.787
_cell_angle_alpha 90.00
_cell_angle_beta 90.00
_cell_angle_gamma 90.00
loop_
_atom_site_label
_atom_site_type_symbol
_atom_site_fract_x
_atom_site_fract_y
_atom_site_fract_z
Ca1 Ca 0.000 0.000 0.000
Ca2 Ca 0.000 0.166 0.000
Ca3 Ca 0.000 0.370 0.000
Ca4 Ca 0.199 0.500 0.000
Ca5 Ca 0.244 0.169 0.000
Ag1 Ag 0.000 0.500 0.500
Ag2 Ag 0.105 0.265 0.500
Ag3 Ag 0.143 0.072 0.500
Pt1 Pt 0.150 0.401 0.500
```

Record 2
Calculated XRD peak list
Compound: In3H4I
Radiation: Cu Kα (λ = 1.5418 Å)
Structure: a cell relaxed with PBE
Neutral-atom scattering factors, no anomalous dispersion.

Principal peaks in the range 2θ from 10° to 90°, by angle:
| 2theta | intensity | hkl |
| --- | --- | --- |
| 10.39 | 23.2 | 0 0 1 |
| 18.42 | 23.7 | 0 1 -1 |
| 22.33 | 20.1 | 1 0 0 |
| 23.65 | 30.2 | 0 1 -2 |
| 24.69 | 13.0 | 1 0 -1 |
| 29.10 | 100.0 | 1 -1 1 |
| 31.52 | 36.9 | 0 0 3 |
| 35.75 | 15.0 | 0 2 -1 |
| 39.13 | 47.0 | -1 1 2 |
| 45.58 | 13.6 | 2 0 0 |

Crystal structure
```
data_In3H4I
_space_group_name_H-M_alt 'P -1'
_space_group_IT_number 2
_cell_length_a 3.981
_cell_length_b 5.024
_cell_length_c 8.872
_cell_angle_alpha 106.31
_cell_angle_beta 90.11
_cell_angle_gamma 90.02
loop_
_space_group_symop_operation_xyz
'x,y,z'
'-x,-y,-z'
loop_
_atom_site_label
_atom_site_type_symbol
_atom_site_fract_x
_atom_site_fract_y
_atom_site_fract_z
In1 In 0.000 0.000 0.000
In2 In 0.003 0.740 0.652
H1 H 0.000 0.327 0.581
H2 H 0.498 0.214 0.344
I1 I 0.500 0.500 0.000
```

Record 3
Calculated XRD peak list
Compound: Cs2KCd2Br7
Radiation: Cu Kα (λ = 1.5418 Å)
Structure: a cell relaxed with PBE
Neutral-atom scattering factors, no anomalous dispersion.

Principal peaks in the range 2θ from 10° to 90°, by angle:
| 2theta | intensity | hkl |
| --- | --- | --- |
| 12.34 | 36.1 | 0 0 2 |
| 16.10 | 25.7 | 1 1 0 |
| 22.41 | 40.5 | 0 2 0 |
| 29.25 | 67.1 | 2 0 2 |
| 31.18 | 29.4 | 0 0 5 |
| 31.90 | 100.0 | 2 2 -1 |
| 32.31 | 26.6 | 1 1 -5 |
| 45.21 | 40.7 | 2 2 -6 |
| 45.74 | 35.7 | 0 4 0 |
| 56.36 | 23.7 | 0 4 5 |

Crystal structure
```
data_Cs2KCd2Br7
_space_group_name_H-M_alt 'C 1 2/m 1'
_space_group_IT_number 12
_cell_length_a 7.935
_cell_length_b 7.935
_cell_length_c 14.876
_cell_angle_alpha 90.00
_cell_angle_beta 105.41
_cell_angle_gamma 90.00
loop_
_space_group_symop_operation_xyz
'x,y,z'
'-x,-y,-z'
'-x,y,-z'
'x,-y,z'
'x+1/2,y+1/2,z'
'-x+1/2,-y+1/2,-z'
'-x+1/2,y+1/2,-z'
'x+1/2,-y+1/2,z'
loop_
_atom_site_label
_atom_site_type_symbol
_atom_site_fract_x
_atom_site_fract_y
_atom_site_fract_z
Cs1 Cs 0.178 0.000 0.356
K1 K 0.000 0.000 0.000
Cd1 Cd 0.098 0.500 0.197
Br1 Br 0.000 0.500 0.000
Br2 Br 0.160 0.250 0.819
Br3 Br 0.193 0.500 0.387
```

Record 4
Calculated XRD peak list
Compound: Dy5Sn11
Radiation: Cu Kα (λ = 1.5418 Å)
Structure: a cell relaxed with PBE
Neutral-atom scattering factors, no anomalous dispersion.

Principal peaks in the range 2θ from 10° to 90°, by angle:
| 2theta | intensity | hkl |
| --- | --- | --- |
| 33.18 | 100.0 | 1 1 8 |
| 33.59 | 19.9 | 0 0 16 |
| 40.55 | 15.5 | 0 2 0 |
| 40.98 | 15.1 | 2 0 0 |
| 53.63 | 10.8 | 0 2 16 |
| 53.99 | 10.6 | 2 0 16 |
| 59.02 | 10.5 | 2 2 0 |
| 59.80 | 11.1 | 1 1 24 |
| 69.10 | 12.5 | 1 3 8 |
| 69.68 | 22.3 | 3 1 8 |

Crystal structure
```
data_Dy5Sn11
_space_group_name_H-M_alt 'I m m m'
_space_group_IT_number 71
_space_group_name_Hall '-I 2 2'
_cell_length_a 4.404
_cell_length_b 4.450
_cell_length_c 42.692
_cell_angle_alpha 90.00
_cell_angle_beta 90.00
_cell_angle_gamma 90.00
loop_
_atom_site_label
_atom_site_type_symbol
_atom_site_fract_x
_atom_site_fract_y
_atom_site_fract_z
Dy1 Dy 0.000 0.000 0.000
Dy2 Dy 0.000 0.000 0.383
Dy3 Dy 0.000 0.500 0.192
Sn1 Sn 0.000 0.000 0.131
Sn2 Sn 0.000 0.000 0.249
Sn3 Sn 0.000 0.000 0.500
Sn4 Sn 0.000 0.500 0.060
Sn5 Sn 0.000 0.500 0.320
Sn6 Sn 0.000 0.500 0.440
```

Record 5
Calculated XRD peak list
Compound: K2CuCl5
Radiation: Cu Kα (λ = 1.5418 Å)
Structure: a cell relaxed with PBE
Neutral-atom scattering factors, no anomalous dispersion.

Principal peaks in the range 2θ from 10° to 90°, by angle:
| 2theta | intensity | hkl |
| --- | --- | --- |
| 15.99 | 100.0 | 1 0 1 |
| 20.36 | 20.3 | 0 0 2 |
| 26.95 | 56.9 | 1 1 2 |
| 32.29 | 60.2 | 2 0 2 |
| 33.24 | 29.8 | 1 0 3 |
| 35.36 | 75.2 | 2 2 0 |
| 46.79 | 23.4 | 3 2 1 |
| 50.87 | 20.4 | 4 0 0 |
| 55.55 | 24.1 | 2 2 4 |
| 55.96 | 20.8 | 3 2 3 |

Crystal structure
```
data_K2CuCl5
_space_group_name_H-M_alt 'I 4 m m'
_space_group_IT_number 107
_space_group_name_Hall 'I 4 -2'
_cell_length_a 7.180
_cell_length_b 7.180
_cell_length_c 8.724
_cell_angle_alpha 90.00
_cell_angle_beta 90.00
_cell_angle_gamma 90.00
loop_
_atom_site_label
_atom_site_type_symbol
_atom_site_fract_x
_atom_site_fract_y
_atom_site_fract_z
K1 K 0.000 0.500 0.000
Cu1 Cu 0.000 0.000 0.223
Cl1 Cl 0.000 0.000 0.928
Cl2 Cl 0.219 0.219 0.256
```

Record 6
Calculated XRD peak list
Compound: Ag2GeSb
Radiation: Cu Kα (λ = 1.5418 Å)
Structure: a cell relaxed with PBE
Neutral-atom scattering factors, no anomalous dispersion.

Principal peaks in the range 2θ from 10° to 90°, by angle:
| 2theta | intensity | hkl |
| --- | --- | --- |
| 32.67 | 100.0 | 2 2 0 |
| 34.86 | 85.5 | 1 1 2 |
| 46.88 | 34.8 | 4 0 0 |
| 48.53 | 63.8 | 3 1 2 |
| 59.73 | 16.3 | 3 3 2 |
| 68.83 | 21.9 | 2 0 4 |
| 69.77 | 19.8 | 5 1 2 |
| 77.94 | 14.0 | 6 2 0 |
| 79.19 | 13.6 | 5 3 2 |
| 87.44 | 22.5 | 4 2 4 |

Crystal structure
```
data_Ag2GeSb
_space_group_name_H-M_alt 'I -4 2 d'
_space_group_IT_number 122
_space_group_name_Hall 'I -4 2bw'
_cell_length_a 7.752
_cell_length_b 7.752
_cell_length_c 5.829
_cell_angle_alpha 90.00
_cell_angle_beta 90.00
_cell_angle_gamma 90.00
loop_
_atom_site_label
_atom_site_type_symbol
_atom_site_fract_x
_atom_site_fract_y
_atom_site_fract_z
Ag1 Ag 0.234 0.250 0.125
Ge1 Ge 0.000 0.000 0.000
Sb1 Sb 0.000 0.000 0.500
```

Record 7
Calculated XRD peak list
Compound: KCdCu7Se2Cl9O8
Radiation: Cu Kα (λ = 1.5418 Å)
Structure: a cell relaxed with PBE
Neutral-atom scattering factors, no anomalous dispersion.

Principal peaks in the range 2θ from 10° to 90°, by angle:
| 2theta | intensity | hkl |
| --- | --- | --- |
| 11.32 | 81.2 | 0 0 2 |
| 11.47 | 50.6 | 1 0 0 |
| 12.79 | 61.2 | 1 0 1 |
| 19.93 | 94.3 | 1 1 0 |
| 23.04 | 100.0 | 2 0 0 |
| 28.79 | 82.6 | 2 0 3 |
| 34.42 | 53.6 | 0 0 6 |
| 35.30 | 93.3 | 3 0 1 |
| 39.05 | 51.9 | 3 0 3 |
| 40.49 | 80.4 | 2 2 0 |

Crystal structure
```
data_KCdCu7Se2Cl9O8
_space_group_name_H-M_alt 'P 63/m m c'
_space_group_IT_number 194
_space_group_name_Hall '-P 6c 2c'
_cell_length_a 8.9114
_cell_length_b 8.9114
_cell_length_c 15.6317
_cell_angle_alpha 90.00
_cell_angle_beta 90.00
_cell_angle_gamma 120.00
loop_
_atom_site_label
_atom_site_type_symbol
_atom_site_fract_x
_atom_site_fract_y
_atom_site_fract_z
K1 K 0.0000 0.0000 0.2500
Cd1 Cd 0.0000 0.0000 0.0000
Cu1 Cu 0.0942 0.5471 0.0931
Cu2 Cu 0.3333 0.6667 0.2500
Se1 Se 0.3333 0.6667 0.5987
Cl1 Cl 0.0163 0.5081 0.2500
Cl2 Cl 0.1393 0.2786 0.1004
O1 O 0.1359 0.5679 0.5450
O2 O 0.3333 0.6667 0.1270
```

Record 8
Calculated XRD peak list
Compound: ZrSc4Os
Radiation: Cu Kα (λ = 1.5418 Å)
Structure: a cell relaxed with PBE
Neutral-atom scattering factors, no anomalous dispersion.

Principal peaks in the range 2θ from 10° to 90°, by angle:
| 2theta | intensity | hkl |
| --- | --- | --- |
| 14.09 | 64.9 | 0 0 2 |
| 28.42 | 33.1 | 1 0 1 |
| 34.99 | 100.0 | 1 0 3 |
| 39.29 | 41.2 | 1 1 0 |
| 39.96 | 13.5 | 1 0 4 |
| 41.94 | 18.0 | 1 1 2 |
| 45.66 | 21.8 | 1 0 5 |
| 58.80 | 14.7 | 0 0 8 |
| 59.80 | 14.3 | 1 1 6 |
| 68.47 | 26.5 | 2 1 3 |

Crystal structure
```
data_ZrSc4Os
_space_group_name_H-M_alt 'P 4/m m m'
_space_group_IT_number 123
_space_group_name_Hall '-P 4 2'
_cell_length_a 3.243
_cell_length_b 3.243
_cell_length_c 12.570
_cell_angle_alpha 90.00
_cell_angle_beta 90.00
_cell_angle_gamma 90.00
loop_
_atom_site_label
_atom_site_type_symbol
_atom_site_fract_x
_atom_site_fract_y
_atom_site_fract_z
Zr1 Zr 0.000 0.000 0.000
Sc1 Sc 0.000 0.000 0.378
Sc2 Sc 0.500 0.500 0.172
Os1 Os 0.500 0.500 0.500
```